Theoretical powder diffractogram of BeVAu for Cu Kα X-rays, from a crystal structure in Alexandria, relaxed with GGA-PBE.

Largest 12 diffraction maxima, sorted by position, 10° ≤ 2θ ≤ 80°:
d/Å  2theta  I/Imax
5.838  15.2  22.7
4.034  22.0  17.2
3.185  28.0  44.1
2.885  31.0  70.7
2.500  35.9  23.0
2.150  42.0  30.9
2.138  42.3  100.0
1.946  46.7  16.6
1.782  51.3  17.3
1.661  55.3  15.2
1.394  67.1  16.0
1.239  77.0  17.2

Cell and atoms:
```
BeVAu
1.0
4.2989 0.0000 0.0000
0.0000 3.1851 0.0000
-2.1424 0.0000 5.8377
Be V Au
2 2 2
Cartesian
0.0000 0.0000 0.0000
0.0016 0.0000 3.7072
0.0047 1.5926 5.6539
2.1495 0.0000 1.5722
-0.0003 1.5926 1.8937
2.1530 1.5926 3.9373
```

---

Theoretical powder diffractogram of PmAl5Co for Cu Kα X-rays, from a crystal structure in Alexandria, relaxed with GGA-PBE.

Largest 12 diffraction maxima, sorted by position, 10° ≤ 2θ ≤ 80°:
d/Å  2theta  I/Imax
6.970  12.7  18.1
4.237  21.0  89.2
3.485  25.6  21.5
2.996  29.8  18.2
2.752  32.5  42.5
2.691  33.3  55.8
2.272  39.7  100.0
2.118  42.7  49.5
1.895  48.0  19.8
1.665  55.2  25.8
1.498  62.0  16.0
1.251  76.1  28.4

Cell and atoms:
```
PmAl5Co
1.0
4.2366 0.0000 0.0000
0.0000 4.2366 0.0000
0.0000 0.0000 6.9698
Pm Al Co
1 5 1
Cartesian
0.0000 0.0000 0.0000
0.0000 2.1183 2.1891
0.0000 2.1183 4.7806
2.1183 0.0000 2.1891
2.1183 0.0000 4.7806
2.1183 2.1183 0.0000
0.0000 0.0000 3.4849
```

---

Theoretical powder diffractogram of VHAu2 for Cu Kα X-rays, from a crystal structure in Alexandria, relaxed with GGA-PBE.

Largest 12 diffraction maxima, sorted by position, 10° ≤ 2θ ≤ 80°:
d/Å  2theta  I/Imax
4.093  21.7  14.7
3.299  27.0  52.7
2.569  34.9  100.0
2.333  38.6  20.4
2.278  39.6  83.2
2.086  43.4  18.7
2.027  44.7  27.0
1.727  53.0  36.0
1.394  67.1  15.2
1.294  73.1  15.0
1.279  74.1  18.4
1.261  75.4  18.6

Cell and atoms:
```
VHAu2
1.0
-3.2989 3.2989 2.6096
3.2989 -3.2989 2.6096
3.2989 3.2989 -2.6096
V H Au
2 2 4
Cartesian
0.0000 0.0000 0.0000
0.0000 3.2989 1.3048
3.2989 0.0000 1.3048
0.0000 0.0000 2.6096
1.6495 -1.0726 1.9572
2.2263 1.6495 0.6524
1.6495 4.3716 -0.6524
1.0726 1.6495 3.2621
```

---

Theoretical powder diffractogram of V2IrRu for Cu Kα X-rays, from a crystal structure in Alexandria, relaxed with GGA-PBE.

Largest 12 diffraction maxima, sorted by position, 10° ≤ 2θ ≤ 80°:
d/Å  2theta  I/Imax
5.632  15.7  11.3
3.505  25.4  20.9
2.976  30.0  5.8
2.812  31.8  24.0
2.194  41.2  100.0
1.989  45.6  37.0
1.753  52.2  12.3
1.730  52.9  12.3
1.487  62.4  7.6
1.408  66.4  5.8
1.404  66.6  5.8
1.315  71.8  18.5

Cell and atoms:
```
V2IrRu
1.0
2.8089 0.0000 0.0000
0.0000 3.5051 0.0000
0.0000 0.0000 5.6315
V Ir Ru
2 1 1
Cartesian
0.0000 0.0000 1.3877
0.0000 0.0000 4.2439
1.4045 1.7526 2.8158
1.4045 1.7526 0.0000
```